Entry 1:
CeTlAg2F8: simulated XRD peak list (Cu Kα X-rays), based on the GGA-PBE geometry in Alexandria.

Crystal structure
abc: 6.0023 6.0023 8.4134
angles: 90.00 90.00 120.00
Fractional positions:
Ce (0.0000, 0.0000, 0.0000)
Tl (0.0000, 0.0000, 0.5000)
Ag (0.3333, 0.6667, 0.6703)
Ag (0.6667, 0.3333, 0.3297)
F (0.1590, 0.3181, 0.8326)
F (0.1590, 0.8410, 0.8326)
F (0.3181, 0.1590, 0.1674)
F (0.3333, 0.6667, 0.4246)
F (0.6667, 0.3333, 0.5754)
F (0.6819, 0.8410, 0.8326)
F (0.8410, 0.1590, 0.1674)
F (0.8410, 0.6819, 0.1674)

The 10 most intense peaks (2θ = 10–90°), most intense first:
| two_theta | Rel. int. |
| --- | --- |
| 27.27 | 100 |
| 29.77 | 85 |
| 17.06 | 54 |
| 40.81 | 50 |
| 20.08 | 49 |
| 51.33 | 37 |
| 46.58 | 27 |
| 31.65 | 23 |
| 56.26 | 22 |
| 64.95 | 21 |

Entry 2:
Ce2Ga6Ag3: simulated XRD peak list (Cu Kα X-rays), based on the GGA-PBE geometry in Alexandria.

Crystal structure
abc: 7.5850 7.5850 4.0906
angles: 90.00 90.00 98.70
Fractional positions:
Ce (0.2048, 0.7952, 0.0000)
Ce (0.7952, 0.2048, 0.0000)
Ga (0.1188, 0.1188, 0.5000)
Ga (0.1483, 0.4598, 0.5000)
Ga (0.4598, 0.1483, 0.5000)
Ga (0.5402, 0.8517, 0.5000)
Ga (0.8517, 0.5402, 0.5000)
Ga (0.8812, 0.8812, 0.5000)
Ag (0.2914, 0.2914, 0.0000)
Ag (0.5000, 0.5000, 0.5000)
Ag (0.7086, 0.7086, 0.0000)

The 10 most intense peaks (2θ = 10–90°), most intense first:
| two_theta | Rel. int. |
| --- | --- |
| 32.39 | 100 |
| 35.90 | 40 |
| 33.28 | 29 |
| 44.29 | 28 |
| 53.48 | 20 |
| 42.38 | 18 |
| 42.55 | 15 |
| 23.73 | 13 |
| 47.39 | 13 |
| 46.63 | 12 |

Entry 3:
Ce2Ga3Ag2: simulated XRD peak list (Cu Kα X-rays), based on the GGA-PBE geometry in Alexandria.

Crystal structure
abc: 9.7551 9.7551 7.3239
angles: 90.00 90.00 154.01
Fractional positions:
Ce (0.0551, 0.9449, 0.7500)
Ce (0.1549, 0.8451, 0.2500)
Ce (0.8451, 0.1549, 0.7500)
Ce (0.9449, 0.0551, 0.2500)
Ga (0.2269, 0.7731, 0.7500)
Ga (0.4424, 0.5576, 0.5773)
Ga (0.4424, 0.5576, 0.9227)
Ga (0.5576, 0.4424, 0.0773)
Ga (0.5576, 0.4424, 0.4227)
Ga (0.7731, 0.2269, 0.2500)
Ag (0.3130, 0.6870, 0.0564)
Ag (0.3130, 0.6870, 0.4436)
Ag (0.6870, 0.3130, 0.5564)
Ag (0.6870, 0.3130, 0.9436)

The 10 most intense peaks (2θ = 10–90°), most intense first:
| two_theta | Rel. int. |
| --- | --- |
| 33.50 | 100 |
| 32.18 | 80 |
| 41.59 | 42 |
| 41.15 | 40 |
| 59.93 | 28 |
| 34.91 | 23 |
| 54.34 | 22 |
| 37.86 | 21 |
| 30.75 | 19 |
| 39.88 | 16 |

Entry 4:
Ce2Ga2Ag3: simulated XRD peak list (Cu Kα X-rays), based on the GGA-PBE geometry in Alexandria.

Crystal structure
abc: 10.3413 10.3413 7.1705
angles: 90.00 90.00 155.46
Fractional positions:
Ce (0.0563, 0.9437, 0.7500)
Ce (0.1650, 0.8350, 0.2500)
Ce (0.8350, 0.1650, 0.7500)
Ce (0.9437, 0.0563, 0.2500)
Ga (0.3125, 0.6875, 0.0569)
Ga (0.3125, 0.6875, 0.4431)
Ga (0.6875, 0.3125, 0.5569)
Ga (0.6875, 0.3125, 0.9431)
Ag (0.2204, 0.7796, 0.7500)
Ag (0.4369, 0.5631, 0.5614)
Ag (0.4369, 0.5631, 0.9386)
Ag (0.5631, 0.4369, 0.0614)
Ag (0.5631, 0.4369, 0.4386)
Ag (0.7796, 0.2204, 0.2500)

The 10 most intense peaks (2θ = 10–90°), most intense first:
| two_theta | Rel. int. |
| --- | --- |
| 32.56 | 100 |
| 41.08 | 22 |
| 41.81 | 19 |
| 45.28 | 18 |
| 35.54 | 17 |
| 60.05 | 13 |
| 69.48 | 11 |
| 55.42 | 9 |
| 52.39 | 9 |
| 73.28 | 9 |

Entry 5:
Ce2SmGa2Ag2: simulated XRD peak list (Cu Kα X-rays), based on the GGA-PBE geometry in Alexandria.

Crystal structure
abc: 9.3187 9.3187 9.3187
angles: 28.10 28.10 28.10
Fractional positions:
Ce (0.1411, 0.1411, 0.1411)
Ce (0.8589, 0.8589, 0.8589)
Sm (0.0000, 0.0000, 0.0000)
Ga (0.2610, 0.2610, 0.2610)
Ga (0.7390, 0.7390, 0.7390)
Ag (0.4064, 0.4064, 0.4064)
Ag (0.5936, 0.5936, 0.5936)

The 10 most intense peaks (2θ = 10–90°), most intense first:
| two_theta | Rel. int. |
| --- | --- |
| 32.68 | 100 |
| 39.85 | 96 |
| 35.22 | 46 |
| 66.65 | 28 |
| 52.45 | 26 |
| 67.84 | 24 |
| 28.20 | 23 |
| 72.35 | 16 |
| 54.22 | 13 |
| 69.37 | 12 |

Entry 6:
CeZnGaAg: simulated XRD peak list (Cu Kα X-rays), based on the GGA-PBE geometry in Alexandria.

Crystal structure
abc: 4.8507 4.8507 4.8507
angles: 60.00 60.00 60.00
Fractional positions:
Ce (0.0000, 0.0000, 0.0000)
Zn (0.7500, 0.7500, 0.7500)
Ga (0.2500, 0.2500, 0.2500)
Ag (0.5000, 0.5000, 0.5000)

The 10 most intense peaks (2θ = 10–90°), most intense first:
| two_theta | Rel. int. |
| --- | --- |
| 37.07 | 100 |
| 66.81 | 34 |
| 53.43 | 17 |
| 78.95 | 10 |
| 25.98 | 9 |
| 60.34 | 3 |
| 45.82 | 3 |
| 84.80 | 2 |
| 22.45 | 1 |
| 43.77 | 1 |

Entry 7:
CeGdAgGe: simulated XRD peak list (Cu Kα X-rays), based on the GGA-PBE geometry in Alexandria.

Crystal structure
abc: 5.1758 5.1758 5.1758
angles: 60.00 60.00 60.00
Fractional positions:
Ce (0.0000, 0.0000, 0.0000)
Gd (0.5000, 0.5000, 0.5000)
Ag (0.2500, 0.2500, 0.2500)
Ge (0.7500, 0.7500, 0.7500)

The 10 most intense peaks (2θ = 10–90°), most intense first:
| two_theta | Rel. int. |
| --- | --- |
| 34.66 | 100 |
| 62.12 | 36 |
| 49.83 | 18 |
| 83.54 | 16 |
| 73.14 | 11 |
| 24.32 | 6 |
| 56.20 | 3 |
| 42.80 | 2 |
| 21.02 | 2 |
| 78.38 | 1 |

Entry 8:
Ce3AgGeS7: simulated XRD peak list (Cu Kα X-rays), based on the GGA-PBE geometry in Alexandria.

Crystal structure
abc: 10.3183 10.3183 5.8552
angles: 90.00 90.00 120.00
Fractional positions:
Ce (0.1272, 0.3599, 0.0000)
Ce (0.2327, 0.8728, 0.0000)
Ce (0.3599, 0.2327, 0.5000)
Ce (0.6401, 0.7673, 0.0000)
Ce (0.7673, 0.1272, 0.5000)
Ce (0.8728, 0.6401, 0.5000)
Ag (0.0000, 0.0000, 0.0711)
Ag (0.0000, 0.0000, 0.5711)
Ge (0.3333, 0.6667, 0.4172)
Ge (0.6667, 0.3333, 0.9172)
S (0.0958, 0.2693, 0.5210)
S (0.1055, 0.5855, 0.2608)
S (0.1736, 0.9042, 0.5210)
S (0.2693, 0.1736, 0.0210)
S (0.3333, 0.6667, 0.7959)
S (0.4145, 0.5200, 0.2608)
S (0.4800, 0.8945, 0.2608)
S (0.5200, 0.1055, 0.7608)
S (0.5855, 0.4800, 0.7608)
S (0.6667, 0.3333, 0.2959)
S (0.7307, 0.8264, 0.5210)
S (0.8264, 0.0958, 0.0210)
S (0.8945, 0.4145, 0.7608)
S (0.9042, 0.7307, 0.0210)

The 10 most intense peaks (2θ = 10–90°), most intense first:
| two_theta | Rel. int. |
| --- | --- |
| 25.07 | 100 |
| 34.78 | 61 |
| 40.79 | 57 |
| 36.25 | 50 |
| 26.39 | 43 |
| 46.95 | 39 |
| 30.54 | 38 |
| 22.98 | 33 |
| 39.48 | 32 |
| 48.10 | 31 |